[1]
Simulated powder XRD pattern
Compound: LiPu6S8
Radiation: a wavelength of 1.5418 Å
Structure: a DFT-relaxed cell (GGA-PBE, Alexandria)

Largest 6 diffraction maxima, sorted by position, 2θ = 5–70°:
2θ/deg	I/Imax
15.92	40.3
22.59	36.3
27.76	88.0
32.17	100.0
46.13	73.7
54.70	45.1

Cell and atoms:
```
LiPu6S8
1.0
0.000 5.566 5.566
5.566 0.000 5.566
5.566 5.566 0.000
Li Pu S
1 6 8
Cartesian
0.000 0.000 0.000
2.783 2.783 0.000
2.783 0.000 2.783
5.566 2.783 2.783
0.000 2.783 2.783
2.783 5.566 2.783
2.783 2.783 5.566
5.566 5.566 2.726
5.566 2.726 5.566
8.406 5.566 5.566
2.783 2.783 2.783
8.349 8.349 8.349
2.726 5.566 5.566
5.566 8.406 5.566
5.566 5.566 8.406
```


[2]
Simulated powder XRD pattern
Compound: Na3NdTh2Se6
Radiation: a wavelength of 1.5418 Å
Structure: a DFT-relaxed cell (GGA-PBE, Alexandria)

Largest 6 diffraction maxima, sorted by position, 2θ = 5–70°:
2θ/deg	I/Imax
12.37	55.5
24.83	31.8
29.67	100.0
41.84	39.1
43.08	36.1
53.19	19.6

Cell and atoms:
```
Na3NdTh2Se6
1.0
3.637 -6.298 0.000
3.637 6.298 0.000
-2.425 0.000 7.156
Na Nd Th Se
3 1 2 6
Cartesian
0.000 0.000 0.000
3.637 2.080 0.000
3.637 -2.080 0.000
2.424 0.000 3.578
2.424 4.199 3.578
2.424 -4.199 3.578
1.192 2.134 1.846
-0.040 0.000 5.314
1.192 -2.134 1.846
3.657 2.134 5.310
4.888 0.000 1.842
3.657 -2.134 5.310
```


[3]
Simulated powder XRD pattern
Compound: SrIn2Ni
Radiation: a wavelength of 1.5418 Å
Structure: a DFT-relaxed cell (GGA-PBE, Alexandria)

Largest 6 diffraction maxima, sorted by position, 2θ = 5–70°:
2θ/deg	I/Imax
14.66	48.4
30.32	100.0
33.84	59.4
40.25	90.2
41.94	22.5
55.99	26.7

Cell and atoms:
```
SrIn2Ni
1.0
3.880 -2.241 0.000
3.880 2.241 0.000
-2.593 0.000 6.042
Sr In Ni
1 2 1
Cartesian
0.000 0.000 0.000
-0.004 0.000 3.796
5.171 0.000 2.246
2.584 0.000 3.021
```


[4]
Simulated powder XRD pattern
Compound: PrY4Ge4
Radiation: a wavelength of 1.5418 Å
Structure: a DFT-relaxed cell (GGA-PBE, Alexandria)

Largest 6 diffraction maxima, sorted by position, 2θ = 5–70°:
2θ/deg	I/Imax
17.98	32.5
26.25	26.7
30.21	100.0
32.28	45.6
37.98	28.1
42.54	35.8

Cell and atoms:
```
PrY4Ge4
1.0
9.355 0.000 0.000
0.000 9.355 0.000
0.000 0.000 5.808
Pr Y Ge
2 8 8
Cartesian
2.339 2.339 1.452
7.016 7.016 4.356
0.862 6.041 0.800
1.364 8.493 3.704
3.314 5.540 3.704
3.815 7.991 0.800
5.540 1.364 5.009
6.041 3.815 2.105
7.991 0.862 2.105
8.493 3.314 5.009
0.374 5.671 3.732
0.993 8.981 0.828
3.684 5.051 0.828
4.304 8.362 3.732
5.051 0.993 2.076
5.671 4.304 4.980
8.362 0.374 4.980
8.981 3.684 2.076
```


[5]
Simulated powder XRD pattern
Compound: WCl6
Radiation: a wavelength of 1.5418 Å
Structure: a DFT-relaxed cell (GGA-PBE, Alexandria)

Largest 6 diffraction maxima, sorted by position, 2θ = 5–70°:
2θ/deg	I/Imax
14.73	41.0
16.09	100.0
18.22	67.6
30.63	48.0
40.37	30.6
47.18	21.2

Cell and atoms:
```
WCl6
1.0
3.339 1.928 6.014
-3.339 1.928 6.014
0.000 -3.855 6.014
W Cl
1 6
Cartesian
0.000 0.000 0.000
-0.926 -2.214 7.346
-2.380 -0.305 10.696
-1.454 1.909 7.346
1.454 -1.909 10.696
2.380 0.305 7.346
0.926 2.214 10.696
```


[6]
Simulated powder XRD pattern
Compound: BeCo3B
Radiation: a wavelength of 1.5418 Å
Structure: a DFT-relaxed cell (GGA-PBE, Alexandria)

Largest 6 diffraction maxima, sorted by position, 2θ = 5–70°:
2θ/deg	I/Imax
25.13	24.6
31.76	21.9
40.92	20.8
41.45	100.0
50.25	34.3
53.32	16.5

Cell and atoms:
```
BeCo3B
1.0
2.817 1.627 3.436
-2.817 1.627 3.436
0.000 -3.253 3.436
Be Co B
2 6 2
Cartesian
0.000 0.000 0.000
0.000 0.000 5.155
-0.903 -1.222 3.342
-2.210 -0.234 5.061
-0.607 1.393 3.342
1.307 -1.797 5.061
1.510 -0.171 3.342
0.903 2.031 5.061
0.000 0.000 2.004
0.000 0.000 7.158
```


[7]
Simulated powder XRD pattern
Compound: Pm5TlPt3
Radiation: a wavelength of 1.5418 Å
Structure: a DFT-relaxed cell (GGA-PBE, Alexandria)

Largest 6 diffraction maxima, sorted by position, 2θ = 5–70°:
2θ/deg	I/Imax
32.59	100.0
33.75	24.0
35.51	73.0
48.96	25.2
61.93	22.4
64.38	26.2

Cell and atoms:
```
Pm5TlPt3
1.0
8.757 0.000 0.000
-4.379 7.584 0.000
0.000 0.000 7.059
Pm Tl Pt
10 2 6
Cartesian
-1.304 2.259 1.765
-3.074 5.325 5.294
2.609 0.000 1.765
1.304 2.259 5.294
0.000 5.056 0.000
0.000 5.056 3.529
4.379 2.528 0.000
4.379 2.528 3.529
6.148 0.000 5.294
3.074 5.325 1.765
0.000 0.000 0.000
0.000 0.000 3.529
-1.658 2.872 5.294
-2.721 4.712 1.765
3.316 0.000 5.294
1.658 2.872 1.765
5.441 0.000 1.765
2.721 4.712 5.294
```


[8]
Simulated powder XRD pattern
Compound: PrPaTaN4
Radiation: a wavelength of 1.5418 Å
Structure: a DFT-relaxed cell (GGA-PBE, Alexandria)

Largest 6 diffraction maxima, sorted by position, 2θ = 5–70°:
2θ/deg	I/Imax
30.95	100.0
31.39	62.7
44.98	27.9
54.77	13.6
55.55	20.2
55.66	20.1

Cell and atoms:
```
PrPaTaN4
1.0
2.846 -6.216 0.000
2.846 6.216 0.000
0.000 0.000 5.708
Pr Pa Ta N
2 2 2 8
Cartesian
2.846 4.907 4.281
2.846 -4.907 1.427
2.846 1.346 4.281
2.846 -1.346 1.427
2.846 3.236 1.427
2.846 -3.236 4.281
1.423 3.108 0.000
1.423 3.108 2.854
2.846 5.214 1.427
2.846 0.767 1.427
1.423 -3.108 0.000
1.423 -3.108 2.854
2.846 -0.767 4.281
2.846 -5.214 4.281
```


[9]
Simulated powder XRD pattern
Compound: Na2Bi5Rh3
Radiation: a wavelength of 1.5418 Å
Structure: a DFT-relaxed cell (GGA-PBE, Alexandria)

Largest 6 diffraction maxima, sorted by position, 2θ = 5–70°:
2θ/deg	I/Imax
17.30	44.5
32.17	85.7
32.26	100.0
35.06	45.3
39.72	67.4
42.67	67.9

Cell and atoms:
```
Na2Bi5Rh3
1.0
2.269 -13.922 0.000
2.269 13.922 0.000
0.000 0.000 7.576
Na Bi Rh
4 10 6
Cartesian
2.269 13.247 3.788
2.269 4.698 3.537
2.269 -4.698 7.325
2.269 -13.247 0.000
2.269 11.253 0.895
2.269 8.310 5.214
2.269 8.042 1.878
2.269 3.312 0.039
2.269 1.198 2.509
2.269 -1.198 6.297
2.269 -3.312 3.827
2.269 -8.042 5.665
2.269 -8.310 1.426
2.269 -11.253 4.683
2.269 11.032 5.704
2.269 6.183 7.298
2.269 1.455 5.396
2.269 -1.455 1.609
2.269 -6.183 3.511
2.269 -11.032 1.917
```


[10]
Simulated powder XRD pattern
Compound: BaTbCu2O4
Radiation: a wavelength of 1.5418 Å
Structure: a DFT-relaxed cell (GGA-PBE, Alexandria)

Largest 6 diffraction maxima, sorted by position, 2θ = 5–70°:
2θ/deg	I/Imax
22.23	19.7
31.64	47.1
34.17	100.0
41.14	18.1
45.35	31.8
57.99	42.0

Cell and atoms:
```
BaTbCu2O4
1.0
4.000 0.000 0.000
0.000 4.000 0.000
0.000 0.000 6.954
Ba Tb Cu O
1 1 2 4
Cartesian
0.000 0.000 0.000
0.000 0.000 3.477
2.000 2.000 2.040
2.000 2.000 4.914
0.000 2.000 2.017
0.000 2.000 4.937
2.000 0.000 2.017
2.000 0.000 4.937
```


[11]
Simulated powder XRD pattern
Compound: Cu8Si3
Radiation: a wavelength of 1.5418 Å
Structure: a DFT-relaxed cell (GGA-PBE, Alexandria)

Largest 6 diffraction maxima, sorted by position, 2θ = 5–70°:
2θ/deg	I/Imax
28.51	5.5
33.04	77.7
37.08	4.0
47.43	100.0
59.02	17.1
69.33	14.4

Cell and atoms:
```
Cu8Si3
1.0
5.422 0.000 0.000
0.000 5.422 0.000
0.000 0.000 5.422
Cu Si
8 3
Cartesian
1.303 1.303 1.303
1.303 1.303 4.119
1.303 4.119 1.303
1.303 4.119 4.119
4.119 1.303 1.303
4.119 1.303 4.119
4.119 4.119 1.303
4.119 4.119 4.119
0.000 2.711 2.711
2.711 0.000 2.711
2.711 2.711 0.000
```


[12]
Simulated powder XRD pattern
Compound: Li2PuInO4
Radiation: a wavelength of 1.5418 Å
Structure: a DFT-relaxed cell (GGA-PBE, Alexandria)

Largest 6 diffraction maxima, sorted by position, 2θ = 5–70°:
2θ/deg	I/Imax
21.62	100.0
33.33	75.0
35.76	19.2
40.04	28.3
45.96	31.3
54.76	22.2

Cell and atoms:
```
Li2PuInO4
1.0
-2.252 2.252 5.022
2.252 -2.252 5.022
2.252 2.252 -5.022
Li Pu In O
2 1 1 4
Cartesian
0.000 0.000 0.000
0.000 2.252 2.511
2.252 0.000 2.511
0.000 0.000 5.022
2.252 0.000 0.149
0.000 0.000 2.593
2.252 0.000 4.873
0.000 0.000 7.450
```